# 1
Starting from the PBE geometry in the Materials Project, the powder X-ray diffraction pattern of In2Au3 was calculated for CuKα.
Neutral-atom scattering factors, no anomalous dispersion.

Most intense lines, 2θ = 15–90°, in order of rising 2θ:
2θ 15.38, I = 13
2θ 26.76, I = 18
2θ 38.20, I = 100
2θ 55.14, I = 17
2θ 69.02, I = 26
2θ 69.18, I = 9

Crystal structure
a b c (Å): 4.7160 4.7160 5.7594
angles (deg): 90.00 90.00 120.00
Atoms (fractional coordinates):
In (0.3333, 0.6667, 0.1739)
In (0.6667, 0.3333, 0.8261)
Au (0.0000, 0.0000, 0.5000)
Au (0.3333, 0.6667, 0.6847)
Au (0.6667, 0.3333, 0.3153)



# 2
Starting from the PBE geometry in the Materials Project, the powder X-ray diffraction pattern of TbNi was calculated for CuKα.
Neutral-atom scattering factors, no anomalous dispersion.

Most intense lines, 2θ = 15–90°, in order of rising 2θ:
2θ 27.21, I = 40
2θ 33.21, I = 100
2θ 35.10, I = 26
2θ 35.81, I = 41
2θ 41.78, I = 48
2θ 42.35, I = 28

Crystal structure
a b c (Å): 5.4375 5.4375 4.2689
angles (deg): 90.00 90.00 140.20
Atoms (fractional coordinates):
Tb (0.1388, 0.8612, 0.7500)
Tb (0.8612, 0.1388, 0.2500)
Ni (0.4273, 0.5727, 0.7500)
Ni (0.5727, 0.4273, 0.2500)



# 3
Starting from the PBE geometry in the Materials Project, the powder X-ray diffraction pattern of Sm2MgTi2Cl2O6 was calculated for CuKα.
Neutral-atom scattering factors, no anomalous dispersion.

Most intense lines, 2θ = 15–90°, in order of rising 2θ:
2θ 16.49, I = 64
2θ 25.61, I = 100
2θ 28.24, I = 55
2θ 33.74, I = 72
2θ 36.24, I = 42
2θ 37.56, I = 39

Crystal structure
a b c (Å): 5.8858 5.8858 9.7421
angles (deg): 104.10 104.10 38.08
Atoms (fractional coordinates):
Sm (0.2327, 0.2327, 0.2295)
Sm (0.7673, 0.7673, 0.7705)
Mg (0.5000, 0.5000, 0.0000)
Ti (0.3958, 0.3958, 0.5652)
Ti (0.6042, 0.6042, 0.4348)
Cl (0.1206, 0.1206, 0.9182)
Cl (0.8794, 0.8794, 0.0818)
O (0.1612, 0.1612, 0.4288)
O (0.3775, 0.3775, 0.8078)
O (0.4246, 0.4246, 0.3716)
O (0.5754, 0.5754, 0.6284)
O (0.6225, 0.6225, 0.1922)
O (0.8388, 0.8388, 0.5712)



# 4
Starting from the PBE geometry in the Materials Project, the powder X-ray diffraction pattern of U3Ta was calculated for CuKα.
Neutral-atom scattering factors, no anomalous dispersion.

Most intense lines, 2θ = 15–90°, in order of rising 2θ:
2θ 32.76, I = 35
2θ 34.82, I = 22
2θ 38.63, I = 100
2θ 48.55, I = 18
2θ 62.41, I = 42
2θ 72.31, I = 21

Crystal structure
a b c (Å): 5.9507 5.9507 5.4679
angles (deg): 90.00 90.00 120.00
Atoms (fractional coordinates):
U (0.1773, 0.3547, 0.2500)
U (0.1773, 0.8227, 0.2500)
U (0.3547, 0.1773, 0.7500)
U (0.6453, 0.8227, 0.2500)
U (0.8227, 0.1773, 0.7500)
U (0.8227, 0.6453, 0.7500)
Ta (0.3333, 0.6667, 0.7500)
Ta (0.6667, 0.3333, 0.2500)



# 5
Starting from the PBE geometry in the Materials Project, the powder X-ray diffraction pattern of Y2Mn3Fe was calculated for CuKα.
Neutral-atom scattering factors, no anomalous dispersion.

Most intense lines, 2θ = 15–90°, in order of rising 2θ:
2θ 33.66, I = 47
2θ 35.40, I = 38
2θ 39.79, I = 48
2θ 40.55, I = 100
2θ 41.91, I = 36
2θ 42.05, I = 40

Crystal structure
a b c (Å): 5.0829 5.0829 5.0829
angles (deg): 63.18 63.18 63.18
Atoms (fractional coordinates):
Y (0.1271, 0.1271, 0.1271)
Y (0.8729, 0.8729, 0.8729)
Mn (0.0000, 0.5000, 0.5000)
Mn (0.5000, 0.0000, 0.5000)
Mn (0.5000, 0.5000, 0.0000)
Fe (0.5000, 0.5000, 0.5000)



# 6
Starting from the PBE geometry in the Materials Project, the powder X-ray diffraction pattern of Bi was calculated for CuKα.
Neutral-atom scattering factors, no anomalous dispersion.

Most intense lines, 2θ = 15–90°, in order of rising 2θ:
2θ 15.09, I = 100
2θ 29.95, I = 20
2θ 30.46, I = 19
2θ 31.61, I = 19
2θ 33.70, I = 30
2θ 35.09, I = 25

Crystal structure
a b c (Å): 5.9678 5.8697 3.2306
angles (deg): 90.00 90.00 90.00
Atoms (fractional coordinates):
Bi (0.2500, 0.0000, 0.1204)
Bi (0.7500, 0.0000, 0.8796)